# 1
Diffraction record for Sb8Ir. The X-ray diffraction stick pattern is simulated, not measured: it uses a crystal structure in Alexandria, relaxed with PBE and Cu Kα, 1.54184 Å.
Kinematic intensities with the Lorentz-polarization factor, no thermal factor.

The 6 most intense peaks (5 to 70 degrees two-theta), most intense first:
33.3°, I = 100, hkl 3 0 1
32.5°, I = 43, hkl 3 3 0
15.2°, I = 36, hkl 2 0 0
45.9°, I = 22, hkl 5 0 1
45.3°, I = 17, hkl 5 3 0
58.5°, I = 16, hkl 6 3 1

Structural model:
```
data_Sb8Ir
_symmetry_space_group_name_H-M 'I 4/m m m'
_symmetry_Int_Tables_number 139
_symmetry_space_group_name_Hall '-I 4 2'
_cell_length_a 11.6750
_cell_length_b 11.6750
_cell_length_c 3.7271
_cell_angle_alpha 90.00
_cell_angle_beta 90.00
_cell_angle_gamma 90.00
loop_
_atom_site_label
_atom_site_type_symbol
_atom_site_fract_x
_atom_site_fract_y
_atom_site_fract_z
_atom_site_occupancy
Sb1 Sb 0.0000 0.3487 0.0000 1
Sb2 Sb 0.1279 0.1279 0.5000 1
Ir1 Ir 0.0000 0.0000 0.0000 1
```



# 2
Diffraction record for Th2Sc7Tc2. The X-ray diffraction stick pattern is simulated, not measured: it uses a crystal structure in Alexandria, relaxed with PBE and Cu Kα, 1.54184 Å.
Kinematic intensities with the Lorentz-polarization factor, no thermal factor.

The 6 most intense peaks (5 to 70 degrees two-theta), most intense first:
35.7°, I = 100, hkl 2 0 -2
35.6°, I = 66, hkl 2 2 1
19.3°, I = 49, hkl 2 0 -1
20.2°, I = 44, hkl 1 1 -1
25.5°, I = 32, hkl 3 1 0
39.6°, I = 26, hkl 0 4 0

Structural model:
```
data_Th2Sc7Tc2
_symmetry_space_group_name_H-M 'C 1 2/m 1'
_symmetry_Int_Tables_number 12
_cell_length_a 12.4023
_cell_length_b 9.1132
_cell_length_c 5.0331
_cell_angle_alpha 90.00
_cell_angle_beta 113.66
_cell_angle_gamma 90.00
loop_
_symmetry_equiv_pos_as_xyz
'x,y,z'
'-x,-y,-z'
'-x,y,-z'
'x,-y,z'
'x+1/2,y+1/2,z'
'-x+1/2,-y+1/2,-z'
'-x+1/2,y+1/2,-z'
'x+1/2,-y+1/2,z'
loop_
_atom_site_label
_atom_site_type_symbol
_atom_site_fract_x
_atom_site_fract_y
_atom_site_fract_z
_atom_site_occupancy
Th1 Th 0.1480 0.0000 0.1526 1
Sc1 Sc 0.0000 0.5000 0.5000 1
Sc2 Sc 0.1425 0.5000 0.1420 1
Sc3 Sc 0.1437 0.2296 0.6462 1
Tc1 Tc 0.0000 0.2538 0.0000 1
```



# 3
Diffraction record for Na4SnSb2. The X-ray diffraction stick pattern is simulated, not measured: it uses a crystal structure in Alexandria, relaxed with PBE and Cu Kα, 1.54184 Å.
Kinematic intensities with the Lorentz-polarization factor, no thermal factor.

The 6 most intense peaks (5 to 70 degrees two-theta), most intense first:
19.6°, I = 100, hkl 1 0 1
33.9°, I = 62, hkl 1 1 0
36.3°, I = 47, hkl 1 0 10
20.3°, I = 31, hkl 0 1 2
39.0°, I = 21, hkl 0 1 11
44.0°, I = 21, hkl 1 1 9

Structural model:
```
data_Na4SnSb2
_symmetry_space_group_name_H-M 'R -3 m'
_symmetry_Int_Tables_number 166
_symmetry_space_group_name_Hall '-R 3 2"'
_cell_length_a 5.2950
_cell_length_b 5.2950
_cell_length_c 29.4388
_cell_angle_alpha 90.00
_cell_angle_beta 90.00
_cell_angle_gamma 120.00
loop_
_atom_site_label
_atom_site_type_symbol
_atom_site_fract_x
_atom_site_fract_y
_atom_site_fract_z
_atom_site_occupancy
Na1 Na 0.0000 0.0000 0.1103 1
Na2 Na 0.0000 0.0000 0.2921 1
Sn1 Sn 0.0000 0.0000 0.5000 1
Sb1 Sb 0.0000 0.0000 0.4036 1
```



# 4
Diffraction record for PmMnPdAu. The X-ray diffraction stick pattern is simulated, not measured: it uses a crystal structure in Alexandria, relaxed with PBE and Cu Kα, 1.54184 Å.
Kinematic intensities with the Lorentz-polarization factor, no thermal factor.

The 6 most intense peaks (5 to 70 degrees two-theta), most intense first:
36.9°, I = 100, hkl 2 2 0
66.5°, I = 35, hkl 4 2 2
53.2°, I = 17, hkl 4 0 0
22.4°, I = 14, hkl 1 1 1
43.6°, I = 8, hkl 3 1 1
25.9°, I = 5, hkl 2 0 0

Structural model:
```
data_PmMnPdAu
_symmetry_space_group_name_H-M 'F -4 3 m'
_symmetry_Int_Tables_number 216
_symmetry_space_group_name_Hall 'F -4 2 3'
_cell_length_a 6.8885
_cell_length_b 6.8885
_cell_length_c 6.8885
_cell_angle_alpha 90.00
_cell_angle_beta 90.00
_cell_angle_gamma 90.00
loop_
_atom_site_label
_atom_site_type_symbol
_atom_site_fract_x
_atom_site_fract_y
_atom_site_fract_z
_atom_site_occupancy
Pm1 Pm 0.0000 0.0000 0.0000 1
Mn1 Mn 0.0000 0.0000 0.5000 1
Pd1 Pd 0.2500 0.2500 0.7500 1
Au1 Au 0.2500 0.2500 0.2500 1
```



# 5
Diffraction record for Tl5V3Cl12. The X-ray diffraction stick pattern is simulated, not measured: it uses a crystal structure in Alexandria, relaxed with PBE and Cu Kα, 1.54184 Å.
Kinematic intensities with the Lorentz-polarization factor, no thermal factor.

The 6 most intense peaks (5 to 70 degrees two-theta), most intense first:
23.7°, I = 100, hkl 3 0 0
31.4°, I = 83, hkl 2 1 1
33.4°, I = 68, hkl 3 0 1
27.1°, I = 59, hkl 1 1 1
15.7°, I = 50, hkl 2 0 0
20.8°, I = 42, hkl 2 1 0

Structural model:
```
data_Tl5V3Cl12
_symmetry_space_group_name_H-M 'P -6 2 m'
_symmetry_Int_Tables_number 189
_symmetry_space_group_name_Hall 'P -6 -2'
_cell_length_a 13.0234
_cell_length_b 13.0234
_cell_length_c 3.8221
_cell_angle_alpha 90.00
_cell_angle_beta 90.00
_cell_angle_gamma 120.00
loop_
_atom_site_label
_atom_site_type_symbol
_atom_site_fract_x
_atom_site_fract_y
_atom_site_fract_z
_atom_site_occupancy
Tl1 Tl 0.0000 0.7155 0.0000 1
Tl2 Tl 0.3333 0.6667 0.0000 1
V1 V 0.0000 0.3330 0.5000 1
Cl1 Cl 0.0000 0.2077 0.0000 1
Cl2 Cl 0.0000 0.4568 0.0000 1
Cl3 Cl 0.2159 0.4374 0.5000 1
```



# 6
Diffraction record for SmSc3Ag2. The X-ray diffraction stick pattern is simulated, not measured: it uses a crystal structure in Alexandria, relaxed with PBE and Cu Kα, 1.54184 Å.
Kinematic intensities with the Lorentz-polarization factor, no thermal factor.

The 6 most intense peaks (5 to 70 degrees two-theta), most intense first:
34.7°, I = 100, hkl 1 0 3
37.0°, I = 49, hkl 1 1 0
65.2°, I = 30, hkl 2 1 3
25.9°, I = 28, hkl 1 0 0
22.7°, I = 21, hkl 0 0 3
53.4°, I = 16, hkl 2 0 0

Structural model:
```
data_SmSc3Ag2
_symmetry_space_group_name_H-M 'P 4/m m m'
_symmetry_Int_Tables_number 123
_symmetry_space_group_name_Hall '-P 4 2'
_cell_length_a 3.4340
_cell_length_b 3.4340
_cell_length_c 11.7667
_cell_angle_alpha 90.00
_cell_angle_beta 90.00
_cell_angle_gamma 90.00
loop_
_atom_site_label
_atom_site_type_symbol
_atom_site_fract_x
_atom_site_fract_y
_atom_site_fract_z
_atom_site_occupancy
Sm1 Sm 0.0000 0.0000 0.0000 1
Sc1 Sc 0.5000 0.5000 0.2082 1
Sc2 Sc 0.5000 0.5000 0.5000 1
Ag1 Ag 0.0000 0.0000 0.3526 1
```



# 7
Diffraction record for BaZrCuS4. The X-ray diffraction stick pattern is simulated, not measured: it uses a crystal structure in Alexandria, relaxed with PBE and Cu Kα, 1.54184 Å.
Kinematic intensities with the Lorentz-polarization factor, no thermal factor.

The 6 most intense peaks (5 to 70 degrees two-theta), most intense first:
33.7°, I = 100, hkl 1 1 2
34.2°, I = 83, hkl 2 1 -2
21.2°, I = 81, hkl 1 1 0
31.3°, I = 77, hkl 0 2 0
27.1°, I = 67, hkl 1 1 -2
43.1°, I = 66, hkl 2 2 0

Structural model:
```
data_BaZrCuS4
_symmetry_space_group_name_H-M 'P 1 21/m 1'
_symmetry_Int_Tables_number 11
_cell_length_a 6.5205
_cell_length_b 5.7098
_cell_length_c 8.5898
_cell_angle_alpha 90.00
_cell_angle_beta 108.18
_cell_angle_gamma 90.00
loop_
_symmetry_equiv_pos_as_xyz
'x,y,z'
'-x,-y,-z'
'-x,y+1/2,-z'
'x,-y+1/2,z'
loop_
_atom_site_label
_atom_site_type_symbol
_atom_site_fract_x
_atom_site_fract_y
_atom_site_fract_z
_atom_site_occupancy
Ba1 Ba 0.2463 0.2500 0.0549 1
Zr1 Zr 0.2671 0.2500 0.5574 1
Cu1 Cu 0.2480 0.7500 0.3237 1
S1 S 0.0207 0.5151 0.6974 1
S2 S 0.4467 0.7500 0.1521 1
S3 S 0.4465 0.7500 0.5913 1
```



# 8
Diffraction record for Li14Mn2Se9. The X-ray diffraction stick pattern is simulated, not measured: it uses a crystal structure in Alexandria, relaxed with PBE and Cu Kα, 1.54184 Å.
Kinematic intensities with the Lorentz-polarization factor, no thermal factor.

The 6 most intense peaks (5 to 70 degrees two-theta), most intense first:
25.5°, I = 100, hkl 2 -1 1
42.4°, I = 40, hkl 2 -1 4
29.5°, I = 39, hkl 1 1 2
42.1°, I = 39, hkl 3 0 0
25.7°, I = 34, hkl 0 0 3
50.0°, I = 30, hkl 3 0 3

Structural model:
```
data_Li14Mn2Se9
_symmetry_space_group_name_H-M 'P -3'
_symmetry_Int_Tables_number 147
_cell_length_a 7.4279
_cell_length_b 7.4279
_cell_length_c 10.4095
_cell_angle_alpha 90.00
_cell_angle_beta 90.00
_cell_angle_gamma 120.00
loop_
_symmetry_equiv_pos_as_xyz
'x,y,z'
'-x,-y,-z'
'-y,x-y,z'
'y,-x+y,-z'
'-x+y,-x,z'
'x-y,x,-z'
loop_
_atom_site_label
_atom_site_type_symbol
_atom_site_fract_x
_atom_site_fract_y
_atom_site_fract_z
_atom_site_occupancy
Li1 Li 0.0000 0.0000 0.2501 1
Li2 Li 0.0155 0.6722 0.4118 1
Li3 Li 0.0320 0.3584 0.0896 1
Mn1 Mn 0.3333 0.6667 0.7548 1
Se1 Se 0.0000 0.0000 0.5000 1
Se2 Se 0.0248 0.3377 0.8377 1
Se3 Se 0.3333 0.6667 0.5123 1
```



# 9
Diffraction record for RbAcHg14. The X-ray diffraction stick pattern is simulated, not measured: it uses a crystal structure in Alexandria, relaxed with PBE and Cu Kα, 1.54184 Å.
Kinematic intensities with the Lorentz-polarization factor, no thermal factor.

The 6 most intense peaks (5 to 70 degrees two-theta), most intense first:
40.8°, I = 100, hkl 2 4 4
9.0°, I = 94, hkl 0 1 1
34.3°, I = 93, hkl 0 0 6
30.6°, I = 91, hkl 0 4 2
33.5°, I = 79, hkl 2 4 0
28.2°, I = 73, hkl 2 3 1

Structural model:
```
data_RbAcHg14
_symmetry_space_group_name_H-M 'I m m a'
_symmetry_Int_Tables_number 74
_symmetry_space_group_name_Hall '-I 2b 2'
_cell_length_a 10.1550
_cell_length_b 12.5860
_cell_length_c 15.6774
_cell_angle_alpha 90.00
_cell_angle_beta 90.00
_cell_angle_gamma 90.00
loop_
_atom_site_label
_atom_site_type_symbol
_atom_site_fract_x
_atom_site_fract_y
_atom_site_fract_z
_atom_site_occupancy
Rb1 Rb 0.0000 0.2500 0.2046 1
Ac1 Ac 0.2500 0.2500 0.7500 1
Hg1 Hg 0.0000 0.1147 0.8417 1
Hg2 Hg 0.0000 0.1274 0.4318 1
Hg3 Hg 0.0000 0.1288 0.6272 1
Hg4 Hg 0.1823 0.1336 0.0013 1
Hg5 Hg 0.2395 0.0145 0.3443 1
```